1.
# BaW6O18
Theoretical PXRD pattern, Cu Kα X-rays. Input: the PBE+U geometry in Alexandria.
Peak positions follow from Bragg's law for the DFT cell and can differ from measured ones.

Most intense lines, 2θ from 15° to 90°, by angle:
20.0 deg, rel. 47
22.9 deg, rel. 100
26.4 deg, rel. 74
28.1 deg, rel. 84
30.6 deg, rel. 52
31.1 deg, rel. 30
31.7 deg, rel. 39
35.2 deg, rel. 39
36.5 deg, rel. 38
46.8 deg, rel. 30
54.3 deg, rel. 28
55.5 deg, rel. 25

Crystal structure
```
data_BaW6O18
_chemical_formula_sum 'Ba4 W24 O72'
_space_group_name_H-M_alt 'C 1 2/m 1'
_space_group_IT_number 12
_cell_length_a 20.3899
_cell_length_b 7.7649
_cell_length_c 8.9994
_cell_angle_alpha 90.00
_cell_angle_beta 90.03
_cell_angle_gamma 90.00
loop_
_space_group_symop_operation_xyz
'x,y,z'
'-x,-y,-z'
'-x,y,-z'
'x,-y,z'
'x+1/2,y+1/2,z'
'-x+1/2,-y+1/2,-z'
'-x+1/2,y+1/2,-z'
'x+1/2,-y+1/2,z'
loop_
_atom_site_label
_atom_site_type_symbol
_atom_site_fract_x
_atom_site_fract_y
_atom_site_fract_z
Ba1 Ba 0.1252 0.0000 0.0881
W1 W 0.0318 0.2528 0.7946
W2 W 0.1249 0.2516 0.4351
W3 W 0.2185 0.2503 0.7941
O1 O 0.0000 0.2539 0.0000
O2 O 0.0317 0.5000 0.7897
O3 O 0.0332 0.0000 0.8102
O4 O 0.0580 0.2423 0.2755
O5 O 0.0606 0.2437 0.5897
O6 O 0.1226 0.5000 0.4317
O7 O 0.1251 0.2519 0.8560
O8 O 0.1272 0.0000 0.4221
O9 O 0.1895 0.2511 0.5893
O10 O 0.1916 0.2524 0.2755
O11 O 0.2148 0.0000 0.8018
O12 O 0.2211 0.5000 0.7967
O13 O 0.2500 0.2500 0.0000
```

---

2.
# Ba2YW3O8
Theoretical PXRD pattern, Cu Kα X-rays. Input: the PBE+U geometry in Alexandria.
Peak positions follow from Bragg's law for the DFT cell and can differ from measured ones.

Most intense lines, 2θ from 15° to 90°, by angle:
21.6 deg, rel. 16
26.2 deg, rel. 48
30.7 deg, rel. 92
31.2 deg, rel. 100
37.5 deg, rel. 22
43.6 deg, rel. 18
44.0 deg, rel. 52
49.2 deg, rel. 30
54.9 deg, rel. 41
59.1 deg, rel. 23
63.9 deg, rel. 16
72.6 deg, rel. 16

Crystal structure
```
data_Ba2YW3O8
_chemical_formula_sum 'Ba2 Y1 W3 O8'
_space_group_name_H-M_alt 'P 4/m m m'
_space_group_IT_number 123
_space_group_name_Hall '-P 4 2'
_cell_length_a 4.1180
_cell_length_b 4.1180
_cell_length_c 12.0060
_cell_angle_alpha 90.00
_cell_angle_beta 90.00
_cell_angle_gamma 90.00
loop_
_atom_site_label
_atom_site_type_symbol
_atom_site_fract_x
_atom_site_fract_y
_atom_site_fract_z
Ba1 Ba 0.0000 0.0000 0.1833
Y1 Y 0.0000 0.0000 0.5000
W1 W 0.5000 0.5000 0.0000
W2 W 0.5000 0.5000 0.3965
O1 O 0.0000 0.5000 0.0000
O2 O 0.0000 0.5000 0.3604
O3 O 0.5000 0.5000 0.1610
```